# Nd2Se3O9
Simulated powder diffractogram, Cu Kα X-rays. Input: the GGA-PBE geometry in the Materials Project.

Cell and atoms:
```
Nd2Se3O9
1.0
8.4232 0.0000 0.0000
0.0000 14.3226 0.0000
0.0000 0.0000 7.0629
Nd Se O
8 12 36
direct
0.1987 0.0631 0.1798
0.1987 0.4369 0.1798
0.3013 0.5631 0.6798
0.3013 0.9369 0.6798
0.6987 0.0631 0.3202
0.6987 0.4369 0.3202
0.8013 0.5631 0.8202
0.8013 0.9369 0.8202
0.0455 0.7500 0.9081
0.0476 0.1245 0.6786
0.0476 0.3755 0.6786
0.4524 0.6245 0.1786
0.4524 0.8755 0.1786
0.4545 0.2500 0.4081
0.5455 0.7500 0.5919
0.5476 0.1245 0.8214
0.5476 0.3755 0.8214
0.9524 0.6245 0.3214
0.9524 0.8755 0.3214
0.9545 0.2500 0.0919
0.0575 0.6533 0.7605
0.0575 0.8467 0.7605
0.0724 0.0383 0.8515
0.0724 0.4617 0.8515
0.1228 0.5767 0.4101
0.1228 0.9233 0.4101
0.1572 0.2500 0.0654
0.2020 0.0946 0.5289
0.2020 0.4054 0.5289
0.2980 0.5946 0.0289
0.2980 0.9054 0.0289
0.3428 0.7500 0.5654
0.3772 0.0767 0.9101
0.3772 0.4233 0.9101
0.4276 0.5383 0.3515
0.4276 0.9617 0.3515
0.4425 0.1533 0.2605
0.4425 0.3467 0.2605
0.5575 0.6533 0.7395
0.5575 0.8467 0.7395
0.5724 0.0383 0.6485
0.5724 0.4617 0.6485
0.6228 0.5767 0.0899
0.6228 0.9233 0.0899
0.6572 0.2500 0.4346
0.7020 0.0946 0.9711
0.7020 0.4054 0.9711
0.7980 0.5946 0.4711
0.7980 0.9054 0.4711
0.8428 0.7500 0.9346
0.8772 0.0767 0.5899
0.8772 0.4233 0.5899
0.9276 0.5383 0.1485
0.9276 0.9617 0.1485
0.9425 0.1533 0.2395
0.9425 0.3467 0.2395
```

The 10 most intense peaks (10° ≤ 2θ ≤ 90°), most intense first:
d [Å]	I_rel
2.883	1000
3.174	665
7.161	570
3.630	465
2.655	450
2.018	415
3.158	405
3.257	315
2.986	297
2.048	254

---

# Nd4Se3O4
Simulated powder diffractogram, Cu Kα X-rays. Input: the GGA-PBE geometry in the Materials Project.

Cell and atoms:
```
Nd4Se3O4
1.0
8.5024 0.0000 0.0000
0.0000 2.0164 6.5208
0.0000 -2.0164 6.5208
Nd Se O
4 3 4
direct
0.0000 0.0000 0.0000
0.2370 0.6822 0.6822
0.5000 0.0169 0.0169
0.7630 0.6822 0.6822
0.0000 0.3120 0.3120
0.3511 0.3552 0.3552
0.6489 0.3552 0.3552
0.0000 0.5869 0.5869
0.2439 0.0871 0.0871
0.5000 0.6152 0.6152
0.7561 0.0871 0.0871
```

The 10 most intense peaks (10° ≤ 2θ ≤ 90°), most intense first:
d [Å]	I_rel
2.956	1000
2.855	550
3.561	539
2.587	295
1.947	224
2.016	200
1.726	169
1.572	155
2.174	148
1.755	146

---

# Nd2SiSeO4
Simulated powder diffractogram, Cu Kα X-rays. Input: the GGA-PBE geometry in the Materials Project.

Cell and atoms:
```
Nd2SiSeO4
1.0
6.2512 0.0000 0.0000
0.0000 7.2396 0.0000
0.0000 0.0000 11.1286
Nd Si Se O
8 4 4 16
direct
0.1095 0.2500 0.0000
0.1095 0.2500 0.5000
0.3694 0.5347 0.2500
0.3694 0.9653 0.7500
0.6306 0.0347 0.2500
0.6306 0.4653 0.7500
0.8905 0.7500 0.0000
0.8905 0.7500 0.5000
0.3857 0.7500 0.0000
0.3857 0.7500 0.5000
0.6143 0.2500 0.0000
0.6143 0.2500 0.5000
0.0734 0.6165 0.7500
0.0734 0.8835 0.2500
0.9266 0.1165 0.7500
0.9266 0.3835 0.2500
0.2280 0.5746 0.0322
0.2280 0.5746 0.4678
0.2280 0.9254 0.5322
0.2280 0.9254 0.9678
0.4529 0.2345 0.6177
0.4529 0.2345 0.8823
0.4529 0.2655 0.1177
0.4529 0.2655 0.3823
0.5471 0.7345 0.6177
0.5471 0.7345 0.8823
0.5471 0.7655 0.1177
0.5471 0.7655 0.3823
0.7720 0.0746 0.0322
0.7720 0.0746 0.4678
0.7720 0.4254 0.5322
0.7720 0.4254 0.9678
```

The 10 most intense peaks (10° ≤ 2θ ≤ 90°), most intense first:
d [Å]	I_rel
2.780	1000
3.034	768
2.550	335
4.354	302
3.604	298
2.270	282
1.390	282
4.156	260
2.080	239
1.807	215